# AgBi2Se3Br
Theoretical powder diffraction line list, Cu Kα (λ = 1.5418 Å). Input: DFT lattice parameters and positions (PBE).

Structural model:
Cell: 8.217 4.171 11.340 Å, 90.00 103.28 90.00°
Space group P2_1/m (No. 11)
One atom of each set of equivalent atoms:
1 Ag 0.049 0.250 0.413 (multiplicity 2)
2 Bi 0.184 0.250 0.929 (multiplicity 2)
3 Bi 0.460 0.750 0.652 (multiplicity 2)
4 Se 0.046 0.250 0.151 (multiplicity 2)
5 Se 0.198 0.250 0.661 (multiplicity 2)
6 Se 0.313 0.750 0.409 (multiplicity 2)
7 Br 0.407 0.750 0.104 (multiplicity 2)

Largest 10 diffraction maxima, by intensity, 2θ from 10° to 80°:
hkl	2θ (°)	I (rel.)
2 1 0	31.0	100
0 0 4	32.5	78
2 1 3	42.9	64
0 2 0	43.4	49
0 1 2	26.8	48
2 1 1	33.4	47
2 1 -1	30.7	40
4 0 -3	46.5	39
0 0 3	24.2	35
2 0 -2	24.3	32